Theoretical powder XRD pattern of AgSbTe3Pb for Cu Kα, 1.54184 Å, from the PBE geometry in Alexandria.

Peak list (12 most intense, 2θ = 10–90°, most intense first)
2theta  I_rel
28.5  100
40.7  75
50.4  26
66.7  21
74.0  17
66.6  12
58.9  8
74.1  7
88.0  5
58.8  4
28.1  4
36.7  3

Atomic structure:
```
data_AgSbTe3Pb
_chemical_formula_sum 'Ag2 Sb2 Te6 Pb2'
_space_group_name_H-M_alt 'I m m 2'
_space_group_IT_number 44
_cell_length_a 4.433
_cell_length_b 6.282
_cell_length_c 13.293
_cell_angle_alpha 90.00
_cell_angle_beta 90.00
_cell_angle_gamma 90.00
loop_
_space_group_symop_operation_xyz
'x,y,z'
'-x,-y,z'
'-x,y,z'
'x,-y,z'
'x+1/2,y+1/2,z+1/2'
'-x+1/2,-y+1/2,z+1/2'
'-x+1/2,y+1/2,z+1/2'
'x+1/2,-y+1/2,z+1/2'
loop_
_atom_site_label
_atom_site_fract_x
_atom_site_fract_y
_atom_site_fract_z
_atom_site_occupancy
Ag1 0.000 0.000 0.000 1
Sb1 0.000 0.000 0.677 1
Te1 0.000 0.500 0.020 1
Te2 0.000 0.500 0.346 1
Te3 0.000 0.500 0.660 1
Pb1 0.000 0.000 0.332 1
```